(1)
Diffraction record for LaTb5Y2Ho. The powder diffractogram is computed, not measured: it uses a GGA-PBE-relaxed structure and Cu Kα (weighted mean of Kα1 and Kα2).
Lines closer than 0.1° are merged.

Crystal structure
abc: 5.6587 19.8630 10.5895
angles: 90.00 90.00 90.00
Space group Cmc2_1 (No. 36)
Inequivalent atoms, fractional coordinates:
1 La 0.0000 0.0819 0.0000 x4
2 Tb 0.0000 0.0200 0.2852 x4
3 Tb 0.0000 0.1132 0.5701 x4
4 Tb 0.0000 0.2031 0.2550 x4
5 Tb 0.0000 0.2180 0.8604 x4
6 Tb 0.0000 0.4816 0.5725 x4
7 Y 0.0000 0.3860 0.8671 x4
8 Y 0.0000 0.3885 0.2796 x4
9 Ho 0.0000 0.2988 0.5587 x4

Main lines, low angle first (2θ = 10–90°):
- 2θ = 28.2°, intensity 23, (0 6 1)
- 2θ = 30.2°, intensity 42, (1 1 3)
- 2θ = 31.6°, intensity 42, (2 0 0)
- 2θ = 32.3°, intensity 100, (1 5 2)
- 2θ = 33.9°, intensity 13, (0 0 4)
- 2θ = 42.9°, intensity 15, (2 6 1)
- 2θ = 51.2°, intensity 11, (0 6 5)
- 2θ = 56.8°, intensity 20, (3 5 2)
- 2θ = 59.8°, intensity 14, (1 11 3)
- 2θ = 61.4°, intensity 13, (2 6 5)

(2)
Diffraction record for BaCa2Au2. The powder diffractogram is computed, not measured: it uses a GGA-PBE-relaxed structure and Cu Kα (weighted mean of Kα1 and Kα2).
Lines closer than 0.1° are merged.

Crystal structure
abc: 4.4641 14.8915 9.7049
angles: 90.00 90.00 90.00
Space group Cmc2_1 (No. 36)
Inequivalent atoms, fractional coordinates:
1 Ba 0.0000 0.0982 0.0000 x4
2 Ca 0.0000 0.1825 0.6266 x4
3 Ca 0.0000 0.3889 0.8517 x4
4 Au 0.0000 0.2495 0.3229 x4
5 Au 0.0000 0.4520 0.1590 x4

Main lines, low angle first (2θ = 10–90°):
- 2θ = 21.9°, intensity 67, (0 2 2)
- 2θ = 22.7°, intensity 46, (1 1 1)
- 2θ = 27.8°, intensity 49, (1 1 2)
- 2θ = 28.4°, intensity 100, (1 3 1)
- 2θ = 30.1°, intensity 35, (0 2 3)
- 2θ = 34.8°, intensity 26, (1 1 3)
- 2θ = 37.5°, intensity 75, (1 5 1)
- 2θ = 38.9°, intensity 29, (1 3 3)
- 2θ = 40.4°, intensity 32, (2 0 0)
- 2θ = 55.7°, intensity 24, (1 7 3)

(3)
Diffraction record for AsPC. The powder diffractogram is computed, not measured: it uses a GGA-PBE-relaxed structure and Cu Kα (weighted mean of Kα1 and Kα2).
Lines closer than 0.1° are merged.

Crystal structure
abc: 2.8722 5.0902 6.7983
angles: 89.25 79.84 89.99
Space group P1 (No. 1)
Inequivalent atoms, fractional coordinates:
1 As 0.0000 0.0000 0.0000 x1
2 As 0.0413 0.4674 0.8994 x1
3 P 0.1549 0.9952 0.6317 x1
4 P 0.7279 0.5013 0.4561 x1
5 C 0.1662 0.3625 0.6037 x1
6 C 0.6945 0.8467 0.5371 x1

Main lines, low angle first (2θ = 10–90°):
- 2θ = 13.2°, intensity 100, (0 0 1)
- 2θ = 26.6°, intensity 45, (0 0 2)
- 2θ = 31.6°, intensity 38, (1 0 0)
- 2θ = 31.8°, intensity 20, (0 1 2)
- 2θ = 32.2°, intensity 58, (1 0 1)
- 2θ = 35.3°, intensity 45, (0 2 0)
- 2θ = 36.6°, intensity 15, (1 0 -1)
- 2θ = 38.0°, intensity 13, (0 2 -1)
- 2θ = 44.1°, intensity 14, (0 1 3)
- 2θ = 48.5°, intensity 12, (1 -2 1)

(4)
Diffraction record for Nd6TlAg6. The powder diffractogram is computed, not measured: it uses a GGA-PBE-relaxed structure and Cu Kα (weighted mean of Kα1 and Kα2).
Lines closer than 0.1° are merged.

Crystal structure
abc: 5.9979 5.9979 11.0843
angles: 90.00 90.00 120.00
Space group P6/mmm (No. 191)
Inequivalent atoms, fractional coordinates:
1 Nd 0.0000 0.0000 0.1679 x2
2 Nd 0.3333 0.6667 0.0000 x2
3 Nd 0.3333 0.6667 0.5000 x2
4 Tl 0.0000 0.0000 0.5000 x1
5 Ag 0.0000 0.5000 0.2577 x6

Main lines, low angle first (2θ = 10–90°):
- 2θ = 29.7°, intensity 53, (1 0 3)
- 2θ = 29.8°, intensity 68, (1 1 0)
- 2θ = 32.3°, intensity 45, (0 0 4)
- 2θ = 34.0°, intensity 100, (1 1 2)
- 2θ = 34.5°, intensity 51, (2 0 0)
- 2θ = 38.3°, intensity 82, (2 0 2)
- 2θ = 52.8°, intensity 35, (3 0 0)
- 2θ = 58.7°, intensity 47, (1 1 6)
- 2θ = 61.9°, intensity 36, (2 2 0)
- 2θ = 75.2°, intensity 33, (3 0 6)

(5)
Diffraction record for PmNdEr3Th. The powder diffractogram is computed, not measured: it uses a GGA-PBE-relaxed structure and Cu Kα (weighted mean of Kα1 and Kα2).
Lines closer than 0.1° are merged.

Crystal structure
abc: 19.7083 5.6181 7.0560
angles: 90.00 90.09 90.00
Space group C2/m (No. 12)
Inequivalent atoms, fractional coordinates:
1 Pm 0.1480 0.0000 0.0389 x4
2 Nd 0.1472 0.0000 0.4603 x4
3 Er 0.0235 0.0000 0.7514 x4
4 Er 0.1578 0.5000 0.7522 x4
5 Er 0.2213 0.5000 0.2508 x4
6 Th 0.0540 0.5000 0.2447 x4

Main lines, low angle first (2θ = 10–90°):
- 2θ = 25.2°, intensity 19, (0 0 2)
- 2θ = 30.3°, intensity 23, (1 1 -2)
- 2θ = 30.5°, intensity 100, (5 1 1)
- 2θ = 31.2°, intensity 18, (4 0 2)
- 2θ = 31.9°, intensity 51, (0 2 0)
- 2θ = 32.9°, intensity 50, (3 1 -2)
- 2θ = 35.7°, intensity 24, (7 1 0)
- 2θ = 45.2°, intensity 13, (4 2 2)
- 2θ = 55.9°, intensity 18, (5 3 1)
- 2θ = 62.1°, intensity 12, (0 2 4)

(6)
Diffraction record for TaAlFe6. The powder diffractogram is computed, not measured: it uses a GGA-PBE-relaxed structure and Cu Kα (weighted mean of Kα1 and Kα2).
Lines closer than 0.1° are merged.

Crystal structure
abc: 6.1823 11.3664 11.3048
angles: 90.00 90.00 90.00
Space group Cmmm (No. 65)
Inequivalent atoms, fractional coordinates:
1 Ta 0.0000 0.0000 0.2480 x4
2 Ta 0.0000 0.2476 0.5000 x4
3 Al 0.0000 0.2493 0.0000 x4
4 Al 0.0000 0.5000 0.2471 x4
5 Fe 0.0000 0.0000 0.0000 x2
6 Fe 0.0000 0.0000 0.5000 x2
7 Fe 0.0000 0.2532 0.2442 x8
8 Fe 0.0000 0.5000 0.0000 x2
9 Fe 0.0000 0.5000 0.5000 x2
10 Fe 0.2464 0.3753 0.3726 x16
11 Fe 0.2485 0.3742 0.1213 x16

Main lines, low angle first (2θ = 10–90°):
- 2θ = 16.3°, intensity 19, (1 1 0)
- 2θ = 17.5°, intensity 17, (0 2 1)
- 2θ = 22.7°, intensity 18, (1 1 2)
- 2θ = 43.2°, intensity 100, (2 4 0)
- 2θ = 43.4°, intensity 99, (2 0 4)
- 2θ = 45.3°, intensity 87, (0 4 4)
- 2θ = 59.8°, intensity 18, (4 0 0)
- 2θ = 78.1°, intensity 32, (4 4 4)
- 2θ = 82.1°, intensity 28, (2 8 4)
- 2θ = 82.3°, intensity 28, (2 4 8)

(7)
Diffraction record for Ag2OsBr6. The powder diffractogram is computed, not measured: it uses a GGA-PBE-relaxed structure and Cu Kα (weighted mean of Kα1 and Kα2).
Lines closer than 0.1° are merged.

Crystal structure
abc: 6.4811 7.1052 11.4494
angles: 90.00 90.00 90.00
Space group Pnnm (No. 58)
Inequivalent atoms, fractional coordinates:
1 Ag 0.0000 0.0000 0.1804 x4
2 Os 0.0000 0.5000 0.0000 x2
3 Br 0.2172 0.3466 0.1536 x8
4 Br 0.2220 0.7904 0.0000 x4

Main lines, low angle first (2θ = 10–90°):
- 2θ = 14.7°, intensity 23, (0 1 1)
- 2θ = 15.7°, intensity 100, (1 0 1)
- 2θ = 24.2°, intensity 57, (1 1 2)
- 2θ = 28.7°, intensity 29, (1 2 0)
- 2θ = 29.7°, intensity 21, (1 2 1)
- 2θ = 29.9°, intensity 60, (1 1 3)
- 2θ = 37.6°, intensity 40, (2 2 0)
- 2θ = 38.6°, intensity 65, (2 1 3)
- 2θ = 43.7°, intensity 17, (1 3 2)
- 2θ = 45.1°, intensity 38, (0 3 3)

Please write out number 1 again, unchanged.
Diffraction record for LaTb5Y2Ho. The powder diffractogram is computed, not measured: it uses a GGA-PBE-relaxed structure and Cu Kα (weighted mean of Kα1 and Kα2).
Lines closer than 0.1° are merged.

Crystal structure
abc: 5.6587 19.8630 10.5895
angles: 90.00 90.00 90.00
Space group Cmc2_1 (No. 36)
Inequivalent atoms, fractional coordinates:
1 La 0.0000 0.0819 0.0000 x4
2 Tb 0.0000 0.0200 0.2852 x4
3 Tb 0.0000 0.1132 0.5701 x4
4 Tb 0.0000 0.2031 0.2550 x4
5 Tb 0.0000 0.2180 0.8604 x4
6 Tb 0.0000 0.4816 0.5725 x4
7 Y 0.0000 0.3860 0.8671 x4
8 Y 0.0000 0.3885 0.2796 x4
9 Ho 0.0000 0.2988 0.5587 x4

Main lines, low angle first (2θ = 10–90°):
- 2θ = 28.2°, intensity 23, (0 6 1)
- 2θ = 30.2°, intensity 42, (1 1 3)
- 2θ = 31.6°, intensity 42, (2 0 0)
- 2θ = 32.3°, intensity 100, (1 5 2)
- 2θ = 33.9°, intensity 13, (0 0 4)
- 2θ = 42.9°, intensity 15, (2 6 1)
- 2θ = 51.2°, intensity 11, (0 6 5)
- 2θ = 56.8°, intensity 20, (3 5 2)
- 2θ = 59.8°, intensity 14, (1 11 3)
- 2θ = 61.4°, intensity 13, (2 6 5)